Record 1
For Na4HfZr3Se8, a crystal structure in Alexandria, relaxed with PBE gives the theoretical powder X-ray diffraction pattern in this record (Cu Kα X-rays).
No peak broadening, texture or thermal motion is included.

The 8 most intense peaks (2θ = 10–90°), in order of rising 2θ:
2θ (°)	I_rel
12.25	47
31.65	100
39.84	13
43.13	39
47.54	32
58.24	17
71.88	15
78.38	14

Cell and atoms:
```
Na4HfZr3Se8
1.0
3.825 2.209 7.227
-3.825 2.209 7.227
0.000 -4.417 7.227
Na Hf Zr Se
4 1 3 8
direct
0.000 0.000 0.000
0.000 0.500 0.500
0.500 0.000 0.500
0.500 0.500 0.000
0.500 0.500 0.500
0.000 0.000 0.500
0.000 0.500 0.000
0.500 0.000 0.000
0.243 0.243 0.243
0.246 0.740 0.740
0.260 0.260 0.754
0.260 0.754 0.260
0.740 0.246 0.740
0.740 0.740 0.246
0.754 0.260 0.260
0.757 0.757 0.757
```

Record 2
For Cu5Ni2Rh, a crystal structure in Alexandria, relaxed with PBE gives the theoretical powder X-ray diffraction pattern in this record (Cu Kα X-rays).
No peak broadening, texture or thermal motion is included.

The 8 most intense peaks (2θ = 10–90°), in order of rising 2θ:
2θ (°)	I_rel
43.12	100
49.80	16
50.42	31
73.58	9
74.08	9
88.72	6
89.71	11
89.81	11

Cell and atoms:
```
Cu5Ni2Rh
1.0
4.089 -1.810 0.000
4.089 1.810 0.000
-3.221 0.000 6.484
Cu Ni Rh
5 2 1
direct
0.000 0.000 0.000
0.246 0.246 0.369
0.254 0.254 0.880
0.746 0.746 0.120
0.754 0.754 0.631
0.499 0.499 0.248
0.501 0.501 0.752
0.000 0.000 0.500
```

Record 3
For MgAsRhO4, a crystal structure in Alexandria, relaxed with PBE gives the theoretical powder X-ray diffraction pattern in this record (Cu Kα X-rays).
No peak broadening, texture or thermal motion is included.

The 8 most intense peaks (2θ = 10–90°), in order of rising 2θ:
2θ (°)	I_rel
16.85	40
26.16	57
29.36	39
32.15	31
34.62	100
35.07	49
51.83	44
60.91	50

Cell and atoms:
```
MgAsRhO4
1.0
-2.977 3.406 4.141
2.977 -3.406 4.141
2.977 3.406 -4.141
Mg As Rh O
2 2 2 8
direct
0.000 0.000 0.000
0.500 0.000 0.500
0.388 0.638 0.750
0.612 0.362 0.250
0.000 0.000 0.500
0.000 0.500 0.000
0.199 0.242 0.957
0.215 0.758 0.457
0.253 0.254 0.501
0.253 0.753 0.999
0.747 0.247 0.001
0.747 0.746 0.499
0.785 0.242 0.543
0.801 0.758 0.043
```

Record 4
For SmTlC2O6, a crystal structure in Alexandria, relaxed with PBE gives the theoretical powder X-ray diffraction pattern in this record (Cu Kα X-rays).
No peak broadening, texture or thermal motion is included.

The 8 most intense peaks (2θ = 10–90°), in order of rising 2θ:
2θ (°)	I_rel
21.49	49
22.53	80
26.21	60
27.19	24
27.74	100
34.59	42
42.16	31
43.28	23

Cell and atoms:
```
SmTlC2O6
1.0
4.442 -4.846 0.000
4.442 4.846 0.000
-2.671 0.000 6.801
Sm Tl C O
2 2 4 12
direct
0.096 0.904 0.750
0.904 0.096 0.250
0.388 0.612 0.250
0.612 0.388 0.750
0.104 0.352 0.748
0.352 0.104 0.248
0.648 0.896 0.752
0.896 0.648 0.252
0.030 0.798 0.396
0.101 0.549 0.761
0.202 0.970 0.104
0.235 0.287 0.878
0.287 0.235 0.378
0.451 0.899 0.739
0.549 0.101 0.261
0.713 0.765 0.622
0.765 0.713 0.122
0.798 0.030 0.896
0.899 0.451 0.239
0.970 0.202 0.604
```

Record 5
For Ac2LaCu6, a crystal structure in Alexandria, relaxed with PBE gives the theoretical powder X-ray diffraction pattern in this record (Cu Kα X-rays).
No peak broadening, texture or thermal motion is included.

The 8 most intense peaks (2θ = 10–90°), in order of rising 2θ:
2θ (°)	I_rel
23.47	24
32.50	100
41.25	42
45.23	11
53.48	25
62.86	23
69.70	22
75.41	9

Cell and atoms:
```
Ac2LaCu6
1.0
7.581 0.000 0.000
-3.791 6.566 0.000
0.000 0.000 4.010
Ac La Cu
2 1 6
direct
0.333 0.667 0.000
0.667 0.333 0.000
0.000 0.000 0.000
0.000 0.331 0.500
0.000 0.669 0.500
0.331 0.000 0.500
0.331 0.331 0.500
0.669 0.000 0.500
0.669 0.669 0.500
```

Record 6
For PrCd2B2O6, a crystal structure in Alexandria, relaxed with PBE gives the theoretical powder X-ray diffraction pattern in this record (Cu Kα X-rays).
No peak broadening, texture or thermal motion is included.

The 8 most intense peaks (2θ = 10–90°), in order of rising 2θ:
2θ (°)	I_rel
23.10	100
31.56	69
34.19	40
41.67	29
47.21	17
51.40	30
54.96	24
59.57	17

Cell and atoms:
```
PrCd2B2O6
1.0
5.245 0.000 0.000
-2.623 4.543 0.000
0.000 0.000 7.255
Pr Cd B O
1 2 2 6
direct
0.000 0.000 0.000
0.333 0.667 0.343
0.667 0.333 0.657
0.333 0.667 0.793
0.667 0.333 0.207
0.077 0.682 0.795
0.318 0.395 0.795
0.395 0.077 0.205
0.605 0.923 0.795
0.682 0.605 0.205
0.923 0.318 0.205
```

Record 7
For TmGePd, a crystal structure in Alexandria, relaxed with PBE gives the theoretical powder X-ray diffraction pattern in this record (Cu Kα X-rays).
No peak broadening, texture or thermal motion is included.

The 8 most intense peaks (2θ = 10–90°), in order of rising 2θ:
2θ (°)	I_rel
33.83	68
33.96	100
37.01	37
37.12	53
37.22	60
39.24	27
39.52	36
44.80	63

Cell and atoms:
```
TmGePd
1.0
6.984 0.000 0.000
0.000 4.046 0.000
-0.119 0.000 12.094
Tm Ge Pd
6 6 6
direct
0.018 0.250 0.208
0.341 0.750 0.580
0.474 0.750 0.877
0.526 0.250 0.123
0.659 0.250 0.420
0.982 0.750 0.792
0.228 0.750 0.077
0.236 0.250 0.417
0.276 0.250 0.748
0.724 0.750 0.252
0.764 0.750 0.583
0.772 0.250 0.923
0.004 0.250 0.591
0.157 0.250 0.955
0.352 0.750 0.291
0.648 0.250 0.709
0.843 0.750 0.045
0.996 0.750 0.409
```

Record 8
For Cu6BiPd12, a crystal structure in Alexandria, relaxed with PBE gives the theoretical powder X-ray diffraction pattern in this record (Cu Kα X-rays).
No peak broadening, texture or thermal motion is included.

The 8 most intense peaks (2θ = 10–90°), in order of rising 2θ:
2θ (°)	I_rel
39.65	35
40.04	100
46.45	64
67.53	20
68.06	21
81.25	12
81.75	23
82.00	11

Cell and atoms:
```
Cu6BiPd12
1.0
6.004 3.467 2.273
-6.004 3.467 2.273
0.000 -6.933 2.273
Cu Bi Pd
6 1 12
direct
0.049 0.574 0.362
0.362 0.049 0.574
0.426 0.638 0.951
0.574 0.362 0.049
0.638 0.951 0.426
0.951 0.426 0.638
0.000 0.000 0.000
0.113 0.168 0.735
0.168 0.735 0.113
0.209 0.329 0.483
0.265 0.887 0.832
0.329 0.483 0.209
0.483 0.209 0.329
0.517 0.791 0.671
0.671 0.517 0.791
0.735 0.113 0.168
0.791 0.671 0.517
0.832 0.265 0.887
0.887 0.832 0.265
```